(1)
Diffraction record for Nd8Ir3CI3. The PXRD pattern is theoretical, not measured: it uses the PBE geometry in Alexandria and Cu Kα (weighted mean of Kα1 and Kα2).

Cell and atoms:
```
data_Nd8Ir3CI3
_chemical_formula_sum 'Nd16 Ir6 C2 I6'
_cell_length_a 14.3890
_cell_length_b 8.3084
_cell_length_c 9.4102
_cell_angle_alpha 90.00
_cell_angle_beta 120.69
_cell_angle_gamma 90.00
_space_group_name_H-M_alt 'C 1 2/m 1'
_space_group_IT_number 12
loop_
_space_group_symop_operation_xyz
'x,y,z'
'-x,-y,-z'
'-x,y,-z'
'x,-y,z'
'x+1/2,y+1/2,z'
'-x+1/2,-y+1/2,-z'
'-x+1/2,y+1/2,-z'
'x+1/2,-y+1/2,z'
loop_
_atom_site_label
_atom_site_type_symbol
_atom_site_fract_x
_atom_site_fract_y
_atom_site_fract_z
Nd1 Nd 0.0207 0.2350 0.3269
Nd2 Nd 0.2145 0.0000 0.6733
Nd3 Nd 0.2293 0.5000 0.6876
Ir1 Ir 0.0000 0.5000 0.5000
Ir2 Ir 0.2500 0.2500 0.5000
C1 C 0.0000 0.0000 0.5000
I1 I 0.0000 0.0000 0.0000
I2 I 0.2500 0.2500 0.0000
```

Top 10 peaks for 10° ≤ 2θ ≤ 80°, by intensity:
2θ = 28.9°, rel. 100; 2θ = 10.9°, rel. 44; 2θ = 43.6°, rel. 39; 2θ = 38.8°, rel. 23; 2θ = 36.0°, rel. 23; 2θ = 53.1°, rel. 18; 2θ = 45.1°, rel. 15; 2θ = 71.0°, rel. 15; 2θ = 48.4°, rel. 12; 2θ = 14.3°, rel. 12

(2)
Diffraction record for KC2IN2. The PXRD pattern is theoretical, not measured: it uses the PBE geometry in Alexandria and Cu Kα (weighted mean of Kα1 and Kα2).

Cell and atoms:
```
data_KC2IN2
_chemical_formula_sum 'K2 C4 I2 N4'
_cell_length_a 7.6610
_cell_length_b 4.5916
_cell_length_c 9.3814
_cell_angle_alpha 90.00
_cell_angle_beta 92.98
_cell_angle_gamma 90.00
_space_group_name_H-M_alt 'C 1 2/m 1'
_space_group_IT_number 12
loop_
_space_group_symop_operation_xyz
'x,y,z'
'-x,-y,-z'
'-x,y,-z'
'x,-y,z'
'x+1/2,y+1/2,z'
'-x+1/2,-y+1/2,-z'
'-x+1/2,y+1/2,-z'
'x+1/2,-y+1/2,z'
loop_
_atom_site_label
_atom_site_type_symbol
_atom_site_fract_x
_atom_site_fract_y
_atom_site_fract_z
K1 K 0.0000 0.0000 0.0000
C1 C 0.1067 0.5000 0.7315
I1 I 0.0000 0.5000 0.5000
N1 N 0.1578 0.5000 0.8520
```

Top 10 peaks for 10° ≤ 2θ ≤ 80°, by intensity:
2θ = 24.3°, rel. 100; 2θ = 24.7°, rel. 63; 2θ = 22.6°, rel. 45; 2θ = 18.9°, rel. 43; 2θ = 23.3°, rel. 38; 2θ = 36.2°, rel. 28; 2θ = 37.2°, rel. 27; 2θ = 41.2°, rel. 26; 2θ = 30.9°, rel. 24; 2θ = 29.4°, rel. 17

(3)
Diffraction record for La5C2I9. The PXRD pattern is theoretical, not measured: it uses the PBE geometry in Alexandria and Cu Kα (weighted mean of Kα1 and Kα2).

Cell and atoms:
```
data_La5C2I9
_chemical_formula_sum 'La10 C4 I18'
_cell_length_a 8.1808
_cell_length_b 10.3022
_cell_length_c 14.7039
_cell_angle_alpha 79.97
_cell_angle_beta 80.61
_cell_angle_gamma 85.27
_space_group_name_H-M_alt 'P -1'
_space_group_IT_number 2
loop_
_space_group_symop_operation_xyz
'x,y,z'
'-x,-y,-z'
loop_
_atom_site_label
_atom_site_type_symbol
_atom_site_fract_x
_atom_site_fract_y
_atom_site_fract_z
La1 La 0.0532 0.4636 0.3225
La2 La 0.1558 0.0284 0.8052
La3 La 0.1705 0.6463 0.8619
La4 La 0.2236 0.1343 0.2422
La5 La 0.2357 0.8356 0.5854
C1 C 0.0385 0.7230 0.7200
C2 C 0.0898 0.8443 0.7440
I1 I 0.1001 0.1479 0.0288
I2 I 0.1298 0.1509 0.4824
I3 I 0.1879 0.8208 0.2366
I4 I 0.1969 0.4981 0.0870
I5 I 0.2414 0.5605 0.4999
I6 I 0.2418 0.3622 0.7741
I7 I 0.4231 0.8485 0.9214
I8 I 0.4647 0.3506 0.2970
I9 I 0.4794 0.0534 0.6367
```

Top 10 peaks for 10° ≤ 2θ ≤ 80°, by intensity:
2θ = 33.4°, rel. 100; 2θ = 27.5°, rel. 67; 2θ = 30.5°, rel. 63; 2θ = 29.1°, rel. 60; 2θ = 26.4°, rel. 58; 2θ = 28.2°, rel. 51; 2θ = 35.7°, rel. 50; 2θ = 31.2°, rel. 41; 2θ = 30.8°, rel. 39; 2θ = 11.0°, rel. 39

(4)
Diffraction record for LaCI. The PXRD pattern is theoretical, not measured: it uses the PBE geometry in Alexandria and Cu Kα (weighted mean of Kα1 and Kα2).

Cell and atoms:
```
data_LaCI
_chemical_formula_sum 'La4 C4 I4'
_cell_length_a 7.6746
_cell_length_b 4.1761
_cell_length_c 11.5691
_cell_angle_alpha 90.00
_cell_angle_beta 93.26
_cell_angle_gamma 90.00
_space_group_name_H-M_alt 'C 1 2/m 1'
_space_group_IT_number 12
loop_
_space_group_symop_operation_xyz
'x,y,z'
'-x,-y,-z'
'-x,y,-z'
'x,-y,z'
'x+1/2,y+1/2,z'
'-x+1/2,-y+1/2,-z'
'-x+1/2,y+1/2,-z'
'x+1/2,-y+1/2,z'
loop_
_atom_site_label
_atom_site_type_symbol
_atom_site_fract_x
_atom_site_fract_y
_atom_site_fract_z
La1 La 0.1449 0.0000 0.1291
C1 C 0.0748 0.5000 0.9743
I1 I 0.1749 0.0000 0.6821
```

Top 10 peaks for 10° ≤ 2θ ≤ 80°, by intensity:
2θ = 29.2°, rel. 100; 2θ = 27.2°, rel. 69; 2θ = 24.3°, rel. 45; 2θ = 41.4°, rel. 40; 2θ = 28.5°, rel. 36; 2θ = 39.2°, rel. 35; 2θ = 51.9°, rel. 26; 2θ = 59.7°, rel. 24; 2θ = 15.3°, rel. 23; 2θ = 43.3°, rel. 21

(5)
Diffraction record for La10C4I15. The PXRD pattern is theoretical, not measured: it uses the PBE geometry in Alexandria and Cu Kα (weighted mean of Kα1 and Kα2).

Cell and atoms:
```
data_La10C4I15
_chemical_formula_sum 'La10 C4 I15'
_cell_length_a 9.9486
_cell_length_b 10.8637
_cell_length_c 11.9946
_cell_angle_alpha 93.68
_cell_angle_beta 114.45
_cell_angle_gamma 109.26
_space_group_name_H-M_alt 'P -1'
_space_group_IT_number 2
loop_
_space_group_symop_operation_xyz
'x,y,z'
'-x,-y,-z'
loop_
_atom_site_label
_atom_site_type_symbol
_atom_site_fract_x
_atom_site_fract_y
_atom_site_fract_z
La1 La 0.0287 0.1890 0.1030
La2 La 0.0992 0.5410 0.3421
La3 La 0.1565 0.2556 0.8358
La4 La 0.2046 0.5670 0.0440
La5 La 0.2788 0.8839 0.2568
C1 C 0.0182 0.6993 0.0631
C2 C 0.0480 0.6381 0.1663
I1 I 0.0932 0.0303 0.3495
I2 I 0.1394 0.3696 0.5871
I3 I 0.2142 0.7322 0.8221
I4 I 0.2911 0.0930 0.0617
I5 I 0.3504 0.4458 0.2953
I6 I 0.3967 0.8133 0.5318
I7 I 0.4459 0.1683 0.7816
I8 I 0.5000 0.5000 0.0000
```

Top 10 peaks for 10° ≤ 2θ ≤ 80°, by intensity:
2θ = 27.3°, rel. 100; 2θ = 28.5°, rel. 77; 2θ = 28.8°, rel. 76; 2θ = 40.1°, rel. 53; 2θ = 39.5°, rel. 29; 2θ = 39.8°, rel. 28; 2θ = 40.3°, rel. 28; 2θ = 41.7°, rel. 22; 2θ = 32.6°, rel. 17; 2θ = 10.6°, rel. 17

(6)
Diffraction record for La7C3I10. The PXRD pattern is theoretical, not measured: it uses the PBE geometry in Alexandria and Cu Kα (weighted mean of Kα1 and Kα2).

Cell and atoms:
```
data_La7C3I10
_chemical_formula_sum 'La14 C6 I20'
_cell_length_a 9.9049
_cell_length_b 11.9992
_cell_length_c 14.2433
_cell_angle_alpha 79.46
_cell_angle_beta 71.27
_cell_angle_gamma 66.01
_space_group_name_H-M_alt 'P -1'
_space_group_IT_number 2
loop_
_space_group_symop_operation_xyz
'x,y,z'
'-x,-y,-z'
loop_
_atom_site_label
_atom_site_type_symbol
_atom_site_fract_x
_atom_site_fract_y
_atom_site_fract_z
La1 La 0.0418 0.2945 0.3061
La2 La 0.1247 0.5710 0.3569
La3 La 0.2480 0.4500 0.0778
La4 La 0.3322 0.7414 0.0994
La5 La 0.3687 0.2255 0.4125
La6 La 0.4500 0.6147 0.8257
La7 La 0.4561 0.0812 0.1650
C1 C 0.2562 0.3875 0.2747
C2 C 0.3328 0.2744 0.2301
C3 C 0.4617 0.5562 0.0226
I1 I 0.0028 0.7166 0.1676
I2 I 0.0647 0.1613 0.5201
I3 I 0.1036 0.5779 0.8790
I4 I 0.1487 0.0245 0.2252
I5 I 0.2144 0.4540 0.5682
I6 I 0.2160 0.8898 0.9084
I7 I 0.3118 0.7447 0.6278
I8 I 0.3574 0.1953 0.9582
I9 I 0.4321 0.6298 0.3017
I10 I 0.4585 0.0618 0.6360
```

Top 10 peaks for 10° ≤ 2θ ≤ 80°, by intensity:
2θ = 27.1°, rel. 100; 2θ = 28.5°, rel. 87; 2θ = 29.0°, rel. 71; 2θ = 40.1°, rel. 29; 2θ = 39.4°, rel. 28; 2θ = 40.3°, rel. 27; 2θ = 39.9°, rel. 27; 2θ = 40.1°, rel. 22; 2θ = 42.0°, rel. 22; 2θ = 32.4°, rel. 18

(7)
Diffraction record for La4CI6N. The PXRD pattern is theoretical, not measured: it uses the PBE geometry in Alexandria and Cu Kα (weighted mean of Kα1 and Kα2).

Cell and atoms:
```
data_La4CI6N
_chemical_formula_sum 'La16 C4 I24 N4'
_cell_length_a 14.3704
_cell_length_b 14.3704
_cell_length_c 9.8175
_cell_angle_alpha 90.00
_cell_angle_beta 90.00
_cell_angle_gamma 90.00
_space_group_name_H-M_alt 'P 42/m n m'
_space_group_IT_number 136
_space_group_name_Hall '-P 4n 2n'
loop_
_atom_site_label
_atom_site_type_symbol
_atom_site_fract_x
_atom_site_fract_y
_atom_site_fract_z
La1 La 0.0886 0.0886 0.1947
La2 La 0.0898 0.9102 0.5000
La3 La 0.1516 0.8484 0.0000
C1 C 0.0351 0.9649 0.0000
I1 I 0.0515 0.7386 0.2511
I2 I 0.1703 0.1703 0.5000
I3 I 0.2198 0.2198 0.0000
N1 N 0.0000 0.0000 0.3486
```

Top 10 peaks for 10° ≤ 2θ ≤ 80°, by intensity:
2θ = 28.9°, rel. 100; 2θ = 25.2°, rel. 64; 2θ = 29.2°, rel. 27; 2θ = 27.9°, rel. 24; 2θ = 36.6°, rel. 23; 2θ = 25.6°, rel. 22; 2θ = 33.1°, rel. 21; 2θ = 36.2°, rel. 20; 2θ = 42.5°, rel. 19; 2θ = 31.1°, rel. 19

(8)
Diffraction record for La2TmC2I2. The PXRD pattern is theoretical, not measured: it uses the PBE geometry in Alexandria and Cu Kα (weighted mean of Kα1 and Kα2).

Cell and atoms:
```
data_La2TmC2I2
_chemical_formula_sum 'La4 Tm2 C4 I4'
_cell_length_a 4.5287
_cell_length_b 4.5287
_cell_length_c 19.4439
_cell_angle_alpha 90.00
_cell_angle_beta 90.00
_cell_angle_gamma 90.00
_space_group_name_H-M_alt 'I 4/m m m'
_space_group_IT_number 139
_space_group_name_Hall '-I 4 2'
loop_
_atom_site_label
_atom_site_type_symbol
_atom_site_fract_x
_atom_site_fract_y
_atom_site_fract_z
La1 La 0.0000 0.0000 0.0823
Tm1 Tm 0.0000 0.0000 0.5000
C1 C 0.0000 0.5000 0.0000
I1 I 0.0000 0.0000 0.3336
```

Top 10 peaks for 10° ≤ 2θ ≤ 80°, by intensity:
2θ = 27.9°, rel. 100; 2θ = 30.3°, rel. 99; 2θ = 38.0°, rel. 57; 2θ = 50.8°, rel. 46; 2θ = 39.8°, rel. 43; 2θ = 56.2°, rel. 36; 2θ = 64.4°, rel. 19; 2θ = 65.1°, rel. 18; 2θ = 71.6°, rel. 15; 2θ = 57.6°, rel. 15